For Y4Zr3O12, DFT lattice parameters and positions (PBE) gives the theoretical powder X-ray diffraction pattern in this record (Cu Kα (λ = 1.5418 Å)).
Kinematic intensities with the Lorentz-polarization factor, no thermal factor.

Structure:
```
Y4Zr3O12
1.0
6.4346 0.0000 0.0000
-1.0504 6.4109 0.0000
-2.1052 -2.4242 12.5203
Y Zr O
8 6 24
direct
0.1117 0.1359 0.4025
0.1883 0.3901 0.6813
0.2027 0.3899 0.1813
0.3590 0.6933 0.9472
0.6410 0.3067 0.0528
0.7973 0.6101 0.8187
0.8117 0.6099 0.3187
0.8883 0.8641 0.5975
0.1076 0.1439 0.9064
0.3547 0.6755 0.4469
0.4914 0.9934 0.7467
0.5086 0.0066 0.2533
0.6453 0.3245 0.5531
0.8924 0.8561 0.0936
0.0669 0.8312 0.9633
0.0724 0.4149 0.8420
0.0910 0.8191 0.4630
0.0943 0.4345 0.3423
0.1798 0.0557 0.7134
0.1839 0.0368 0.2033
0.3139 0.4050 0.0296
0.3267 0.4254 0.5340
0.4225 0.0784 0.9052
0.4249 0.6830 0.7778
0.4246 0.6955 0.2930
0.4667 0.1080 0.4109
0.5333 0.8920 0.5891
0.5754 0.3045 0.7070
0.5751 0.3170 0.2222
0.5775 0.9216 0.0948
0.6733 0.5746 0.4660
0.6861 0.5950 0.9704
0.8161 0.9632 0.7967
0.8202 0.9443 0.2866
0.9057 0.5655 0.6577
0.9090 0.1809 0.5370
0.9276 0.5851 0.1580
0.9331 0.1688 0.0367
```

Top 8 peaks for 15° ≤ 2θ ≤ 90°, sorted by position:
d = 3.073 Å, I 46.1, hkl 1 1 2
d = 3.054 Å, I 51.0, hkl 0 2 -2
d = 3.038 Å, I 100.0, hkl 1 0 -4
d = 2.636 Å, I 31.9, hkl 2 1 -2
d = 1.863 Å, I 31.3, hkl 1 2 -6
d = 1.859 Å, I 16.1, hkl -3 1 4
d = 1.590 Å, I 16.9, hkl 0 1 -8
d = 1.586 Å, I 18.3, hkl 3 1 -6